(1)
The following is a calculated PXRD pattern of TbErGa2Br2. It was derived from the PBE geometry in OQMD, using Cu Kα (weighted mean of Kα1 and Kα2).

Structure:
a b c (Å): 4.1159 4.1159 11.2346
angles (deg): 90.00 90.00 120.00
Space group P3m1 (No. 156)
Inequivalent atoms, fractional coordinates:
Tb 0.0000 0.0000 0.0000 [1 per cell]
Er 0.0000 0.0000 0.6365 [1 per cell]
Ga 0.3333 0.6667 0.8479 [1 per cell]
Ga 0.6667 0.3333 0.7853 [1 per cell]
Br 0.3333 0.6667 0.4817 [1 per cell]
Br 0.6667 0.3333 0.1580 [1 per cell]

Largest 12 diffraction maxima, in order of rising 2θ, 2θ = 10–90°:
index	Position (°2θ)	Rel. int.
0 0 2	15.78	12
1 0 0	24.98	15
1 0 1	26.23	21
1 0 2	29.68	66
1 0 3	34.75	100
1 1 0	44.00	50
0 1 5	47.85	24
0 2 2	53.98	12
0 2 3	57.25	24
1 1 6	67.65	16
2 1 2	72.09	10
2 1 3	74.91	21

---

(2)
The following is a calculated PXRD pattern of GdErBr2O. It was derived from the PBE geometry in OQMD, using Cu Kα (weighted mean of Kα1 and Kα2).

Structure:
a b c (Å): 3.6555 3.6555 10.2040
angles (deg): 90.00 90.00 120.00
Space group P3m1 (No. 156)
Inequivalent atoms, fractional coordinates:
Gd 0.0000 0.0000 0.0000 [1 per cell]
Er 0.3333 0.6667 0.2440 [1 per cell]
Br 0.0000 0.0000 0.4304 [1 per cell]
Br 0.3333 0.6667 0.8055 [1 per cell]
O 0.6667 0.3333 0.1406 [1 per cell]

Largest 12 diffraction maxima, in order of rising 2θ, 2θ = 10–90°:
index	Position (°2θ)	Rel. int.
1 0 0	28.19	27
1 0 2	33.31	100
0 0 4	35.18	9
1 0 3	38.86	31
0 1 4	45.67	13
1 1 0	49.90	27
0 1 5	53.42	11
0 2 2	61.32	17
1 1 4	62.51	11
1 1 5	68.97	12
1 0 7	71.21	10
2 1 2	82.87	15